Entry 1:
This entry pairs a crystal structure of BaSr11Al4O16F4 with its theoretical PXRD pattern. Radiation: λ = 1.5418 Å (Cu Kα). Structure: a DFT-relaxed cell (GGA-PBE, the Materials Project).
Peak positions follow from Bragg's law for the DFT cell and can differ from measured ones.

Structural model:
a = 6.879 Å, b = 6.879 Å, c = 11.293 Å
α = 90.00°, β = 90.00°, γ = 90.00°
Atoms (fractional coordinates):
Ba (0.000, 0.000, 0.000)
Sr (0.000, 0.000, 0.500)
Sr (0.170, 0.332, 0.251)
Sr (0.170, 0.668, 0.749)
Sr (0.332, 0.170, 0.749)
Sr (0.332, 0.830, 0.251)
Sr (0.500, 0.500, 0.000)
Sr (0.500, 0.500, 0.500)
Sr (0.668, 0.170, 0.251)
Sr (0.668, 0.830, 0.749)
Sr (0.830, 0.332, 0.749)
Sr (0.830, 0.668, 0.251)
Al (0.000, 0.500, 0.000)
Al (0.000, 0.500, 0.500)
Al (0.500, 0.000, 0.000)
Al (0.500, 0.000, 0.500)
O (0.142, 0.358, 0.602)
O (0.142, 0.642, 0.398)
O (0.144, 0.363, 0.897)
O (0.144, 0.637, 0.103)
O (0.358, 0.142, 0.398)
O (0.358, 0.858, 0.602)
O (0.363, 0.144, 0.103)
O (0.363, 0.856, 0.897)
O (0.637, 0.144, 0.897)
O (0.637, 0.856, 0.103)
O (0.642, 0.142, 0.602)
O (0.642, 0.858, 0.398)
O (0.856, 0.363, 0.103)
O (0.856, 0.637, 0.897)
O (0.858, 0.358, 0.398)
O (0.858, 0.642, 0.602)
F (0.000, 0.000, 0.254)
F (0.000, 0.000, 0.746)
F (0.500, 0.500, 0.251)
F (0.500, 0.500, 0.749)

Peak list (10 most intense, 15 to 90 degrees two-theta, in order of falling intensity)
30.43 deg, d = 2.937 Å, intensity 100
37.77 deg, d = 2.382 Å, intensity 94
30.11 deg, d = 2.968 Å, intensity 55
41.52 deg, d = 2.175 Å, intensity 51
31.69 deg, d = 2.823 Å, intensity 42
55.68 deg, d = 1.651 Å, intensity 36
24.15 deg, d = 3.685 Å, intensity 34
36.96 deg, d = 2.432 Å, intensity 30
49.47 deg, d = 1.843 Å, intensity 24
53.16 deg, d = 1.723 Å, intensity 24

=====

Entry 2:
This entry pairs a crystal structure of ZrTeSe with its theoretical PXRD pattern. Radiation: λ = 1.5418 Å (Cu Kα). Structure: a DFT-relaxed cell (GGA-PBE, the Materials Project).
Peak positions follow from Bragg's law for the DFT cell and can differ from measured ones.

Structural model:
a = 4.604 Å, b = 4.604 Å, c = 7.286 Å
α = 90.00°, β = 90.00°, γ = 90.00°
Atoms (fractional coordinates):
Zr (0.250, 0.250, 0.242)
Zr (0.750, 0.750, 0.758)
Te (0.250, 0.750, 0.500)
Te (0.750, 0.250, 0.500)
Se (0.250, 0.250, 0.871)
Se (0.750, 0.750, 0.129)

Peak list (10 most intense, 15 to 90 degrees two-theta, in order of falling intensity)
30.07 deg, d = 2.972 Å, intensity 100
37.03 deg, d = 2.428 Å, intensity 98
39.14 deg, d = 2.302 Å, intensity 64
69.54 deg, d = 1.352 Å, intensity 35
65.36 deg, d = 1.428 Å, intensity 27
42.07 deg, d = 2.148 Å, intensity 24
56.54 deg, d = 1.628 Å, intensity 21
54.96 deg, d = 1.671 Å, intensity 21
58.80 deg, d = 1.570 Å, intensity 18
31.31 deg, d = 2.857 Å, intensity 13

=====

Entry 3:
This entry pairs a crystal structure of AcSm3 with its theoretical PXRD pattern. Radiation: λ = 1.5418 Å (Cu Kα). Structure: a DFT-relaxed cell (GGA-PBE, the Materials Project).
Peak positions follow from Bragg's law for the DFT cell and can differ from measured ones.

Structural model:
a = 6.450 Å, b = 6.450 Å, c = 6.450 Å
α = 131.97°, β = 131.97°, γ = 70.27°
Atoms (fractional coordinates):
Ac (0.000, 0.000, 0.000)
Sm (0.250, 0.750, 0.500)
Sm (0.500, 0.500, 0.000)
Sm (0.750, 0.250, 0.500)

Peak list (10 most intense, 15 to 90 degrees two-theta, in order of falling intensity)
29.42 deg, d = 3.036 Å, intensity 100
34.16 deg, d = 2.625 Å, intensity 34
58.27 deg, d = 1.583 Å, intensity 30
48.96 deg, d = 1.860 Å, intensity 25
34.00 deg, d = 2.637 Å, intensity 17
58.05 deg, d = 1.589 Å, intensity 15
61.05 deg, d = 1.518 Å, intensity 13
49.09 deg, d = 1.856 Å, intensity 12
79.39 deg, d = 1.207 Å, intensity 12
82.06 deg, d = 1.174 Å, intensity 11

=====

Entry 4:
This entry pairs a crystal structure of Cs2ThAs2O8 with its theoretical PXRD pattern. Radiation: λ = 1.5418 Å (Cu Kα). Structure: a DFT-relaxed cell (GGA-PBE, the Materials Project).
Peak positions follow from Bragg's law for the DFT cell and can differ from measured ones.

Structural model:
a = 10.790 Å, b = 10.790 Å, c = 10.790 Å
α = 139.73°, β = 139.73°, γ = 58.27°
Atoms (fractional coordinates):
Cs (0.000, 0.000, 0.000)
Cs (0.000, 0.000, 0.500)
Cs (0.000, 0.500, 0.000)
Cs (0.500, 0.000, 0.500)
Th (0.375, 0.625, 0.750)
Th (0.625, 0.375, 0.250)
As (0.201, 0.451, 0.750)
As (0.451, 0.201, 0.250)
As (0.549, 0.799, 0.750)
As (0.799, 0.549, 0.250)
O (0.039, 0.604, 0.435)
O (0.259, 0.331, 0.572)
O (0.259, 0.688, 0.928)
O (0.312, 0.741, 0.572)
O (0.331, 0.259, 0.072)
O (0.331, 0.396, 0.935)
O (0.396, 0.331, 0.435)
O (0.396, 0.961, 0.065)
O (0.604, 0.039, 0.935)
O (0.604, 0.669, 0.565)
O (0.669, 0.604, 0.065)
O (0.669, 0.741, 0.928)
O (0.688, 0.259, 0.428)
O (0.741, 0.312, 0.072)
O (0.741, 0.669, 0.428)
O (0.961, 0.396, 0.565)

Peak list (10 most intense, 15 to 90 degrees two-theta, in order of falling intensity)
27.26 deg, d = 3.272 Å, intensity 100
26.51 deg, d = 3.362 Å, intensity 70
23.96 deg, d = 3.715 Å, intensity 53
18.49 deg, d = 4.798 Å, intensity 34
39.27 deg, d = 2.294 Å, intensity 34
33.23 deg, d = 2.696 Å, intensity 33
48.38 deg, d = 1.881 Å, intensity 30
43.25 deg, d = 2.092 Å, intensity 28
25.78 deg, d = 3.456 Å, intensity 26
44.22 deg, d = 2.048 Å, intensity 24